For Sr2CoBrClO2, a PBE+U-relaxed structure gives the simulated PXRD pattern in this record (copper Kα).
Peak positions follow from Bragg's law for the DFT cell and can differ from measured ones.

The 8 most intense peaks (2θ from 15° to 90°), most intense first:
2θ (°)  d_spacing  Rel. int.  (hkl)
35.5  2.525  100  1 0 5
31.1  2.875  68  1 1 0
58.3  1.584  46  2 1 5
44.6  2.033  35  2 0 0
38.5  2.340  16  1 1 4
73.7  1.286  11  3 1 0
64.9  1.437  11  2 2 0
76.2  1.249  10  3 0 5

Crystal structure
abc: 4.0657 4.0657 16.1132
angles: 90.00 90.00 90.00
Space group I4mm (No. 107)
Symmetry-distinct sites (fractional):
Sr  0.0000  0.0000  0.0000 [2 per cell]
Sr  0.0000  0.0000  0.2037 [2 per cell]
Co  0.0000  0.0000  0.6013 [2 per cell]
Br  0.0000  0.0000  0.7882 [2 per cell]
Cl  0.0000  0.0000  0.4346 [2 per cell]
O  0.0000  0.5000  0.1039 [4 per cell]